# Sm5Er4Tm2
Calculated powder diffractogram, CuKα. Input: a DFT-relaxed cell (GGA-PBE, Alexandria).
Intensities are scaled so that the largest is 100.

The 10 most intense peaks (5 to 70 degrees two-theta), sorted by position:
| two_theta | d_spacing | I/Imax |
| --- | --- | --- |
| 29.9 | 2.989 | 73.7 |
| 30.1 | 2.972 | 100.0 |
| 30.4 | 2.939 | 41.7 |
| 31.9 | 2.803 | 71.7 |
| 32.5 | 2.757 | 83.5 |
| 33.2 | 2.695 | 98.1 |
| 39.3 | 2.292 | 22.7 |
| 46.2 | 1.966 | 29.4 |
| 58.4 | 1.580 | 38.5 |
| 59.7 | 1.549 | 21.8 |

Atomic structure:
```
Sm5Er4Tm2
1.0
5.5165 -3.6306 0.0000
5.5165 3.6306 0.0000
-2.7398 0.0000 8.8175
Sm Er Tm
5 4 2
Direct
0.0000 0.0000 0.0000
0.2126 0.6534 0.7301
0.3466 0.7874 0.2699
0.6534 0.2126 0.7301
0.7874 0.3466 0.2699
0.3044 0.3044 0.9993
0.3351 0.3351 0.3825
0.6649 0.6649 0.6175
0.6956 0.6956 0.0007
0.1460 0.1460 0.6173
0.8540 0.8540 0.3827
```